Calculated XRD peak list
Compound: BaCrPbO2
Radiation: Cu Kα, 1.54184 Å
Structure: a DFT-relaxed cell (PBE+U, Alexandria)
Neutral-atom scattering factors, no anomalous dispersion.

Peak list (10 most intense, 2θ = 15–90°, sorted by position)
- hkl 1 0 0, 2θ 18.66, d = 4.756 Å, intensity 21
- hkl 1 0 1, 2θ 25.44, d = 3.501 Å, intensity 100
- hkl 1 1 0, 2θ 26.50, d = 3.363 Å, intensity 73
- hkl 0 0 2, 2θ 34.69, d = 2.586 Å, intensity 26
- hkl 2 0 0, 2θ 37.83, d = 2.378 Å, intensity 41
- hkl 1 1 2, 2θ 44.18, d = 2.050 Å, intensity 38
- hkl 2 1 1, 2θ 46.15, d = 1.967 Å, intensity 42
- hkl 2 0 2, 2θ 52.26, d = 1.750 Å, intensity 31
- hkl 2 2 2, 2θ 66.30, d = 1.410 Å, intensity 15
- hkl 3 1 2, 2θ 72.74, d = 1.300 Å, intensity 18

Structural model:
```
data_BaCrPbO2
_space_group_name_H-M_alt 'P 1'
_space_group_IT_number 1
_cell_length_a 4.756
_cell_length_b 4.756
_cell_length_c 5.172
_cell_angle_alpha 90.00
_cell_angle_beta 90.00
_cell_angle_gamma 90.00
loop_
_space_group_symop_operation_xyz
'x,y,z'
loop_
_atom_site_label
_atom_site_type_symbol
_atom_site_fract_x
_atom_site_fract_y
_atom_site_fract_z
Ba1 Ba 0.000 0.000 0.000
Cr1 Cr 0.500 0.500 0.000
Pb1 Pb 0.500 0.500 0.500
O1 O 0.000 0.500 0.500
O2 O 0.500 0.000 0.500
```